Structure and theoretical powder diffractogram of PrRuC (a cell relaxed with PBE; Cu Kα).

Peak list (6 most intense, 2θ from 10° to 80°, sorted by position)
- d 2.969, rel. 31
- d 2.678, rel. 100
- d 2.620, rel. 20
- d 1.965, rel. 20
- d 1.652, rel. 23
- d 1.524, rel. 14

Structural model:
Unit cell a=5.9387 b=3.6590 c=5.2402 alpha=90.00 beta=90.00 gamma=90.00
Space group Pmma (No. 51)
Symmetry-distinct sites (fractional):
Pr  0.2500  0.0000  0.2285 [2 per cell]
Ru  0.2500  0.5000  0.7206 [2 per cell]
C  0.0000  0.5000  0.5000 [2 per cell]